No. 1
Structure and simulated X-ray diffraction stick pattern of Mg14ZrNi (a DFT-relaxed cell (GGA-PBE, Alexandria); Cu Ka).
Lines closer than 0.1° are merged.

```
data_Mg14ZrNi
_symmetry_space_group_name_H-M 'P -6 m 2'
_symmetry_Int_Tables_number 187
_symmetry_space_group_name_Hall 'P -6 2'
_cell_length_a 6.3144
_cell_length_b 6.3144
_cell_length_c 9.9479
_cell_angle_alpha 90.00
_cell_angle_beta 90.00
_cell_angle_gamma 120.00
loop_
_atom_site_label
_atom_site_type_symbol
_atom_site_fract_x
_atom_site_fract_y
_atom_site_fract_z
Mg1 Mg 0.0000 0.0000 0.2385
Mg2 Mg 0.0156 0.5078 0.2619
Mg3 Mg 0.3266 0.1633 0.5000
Mg4 Mg 0.3451 0.1726 0.0000
Zr1 Zr 0.3333 0.6667 0.0000
Ni1 Ni 0.3333 0.6667 0.5000
```

Most intense lines, 2θ from 10° to 80°, in order of rising 2θ:
2theta  d/Å  Rel. int.  hkl
16.21  5.468  27  1 0 0
24.19  3.680  15  1 0 2
32.75  2.734  27  2 0 0
33.62  2.666  8  1 1 2
36.12  2.487  24  0 0 4
37.54  2.396  100  2 0 2
47.65  1.909  8  2 1 2
49.55  1.840  16  2 0 4
58.47  1.579  17  2 2 0
65.88  1.418  17  2 0 6
70.68  1.333  18  2 2 4
71.58  1.318  13  4 0 2



No. 2
Structure and simulated X-ray diffraction stick pattern of Ca2SmPd5 (a DFT-relaxed cell (GGA-PBE, Alexandria); Cu Ka).
Lines closer than 0.1° are merged.

```
data_Ca2SmPd5
_symmetry_space_group_name_H-M 'I 4 m m'
_symmetry_Int_Tables_number 107
_symmetry_space_group_name_Hall 'I 4 -2'
_cell_length_a 7.100
_cell_length_b 7.100
_cell_length_c 6.242
_cell_angle_alpha 90.00
_cell_angle_beta 90.00
_cell_angle_gamma 90.00
loop_
_atom_site_label
_atom_site_type_symbol
_atom_site_fract_x
_atom_site_fract_y
_atom_site_fract_z
Ca1 Ca 0.000 0.500 0.000
Sm1 Sm 0.000 0.000 0.001
Pd1 Pd 0.000 0.000 0.500
Pd2 Pd 0.250 0.250 0.250
```

Most intense lines, 2θ from 10° to 80°, in order of rising 2θ:
2theta  d/Å  Rel. int.  hkl
17.67  5.020  17  1 1 0
25.08  3.550  2  2 0 0
33.82  2.651  7  1 1 2
35.77  2.510  61  2 2 0
38.40  2.344  100  2 0 2
40.16  2.245  4  3 1 0
50.04  1.823  5  3 1 2
51.48  1.775  21  4 0 0
59.21  1.561  7  0 0 4
66.02  1.415  39  4 2 2
71.14  1.325  16  2 2 4
75.79  1.255  6  4 4 0



No. 3
Structure and simulated X-ray diffraction stick pattern of BaGa3I12 (a DFT-relaxed cell (GGA-PBE, Alexandria); Cu Ka).
Lines closer than 0.1° are merged.

```
data_BaGa3I12
_symmetry_space_group_name_H-M 'R 3 c'
_symmetry_Int_Tables_number 161
_symmetry_space_group_name_Hall 'R 3 -2"c'
_cell_length_a 12.8349
_cell_length_b 12.8349
_cell_length_c 37.9118
_cell_angle_alpha 90.00
_cell_angle_beta 90.00
_cell_angle_gamma 120.00
loop_
_atom_site_label
_atom_site_type_symbol
_atom_site_fract_x
_atom_site_fract_y
_atom_site_fract_z
Ba1 Ba 0.0000 0.0000 0.0000
Ga1 Ga 0.0092 0.3885 0.2799
I1 I 0.0337 0.5133 0.9541
I2 I 0.0756 0.5293 0.7288
I3 I 0.1004 0.5442 0.5995
I4 I 0.1637 0.3347 0.6704
```

Most intense lines, 2θ from 10° to 80°, in order of rising 2θ:
2theta  d/Å  Rel. int.  hkl
13.80  6.417  32  1 1 0
14.02  6.319  31  0 0 6
24.02  3.705  68  3 0 0
24.69  3.606  100  2 0 8
27.80  3.209  67  2 2 0
27.91  3.196  44  3 0 6
28.39  3.144  74  1 2 8
29.35  3.043  24  3 1 2
40.17  2.245  29  2 3 8
45.04  2.013  23  5 0 8
49.07  1.856  26  2 3 14
51.37  1.779  24  0 6 6



No. 4
Structure and simulated X-ray diffraction stick pattern of LiCaGaC2 (a DFT-relaxed cell (GGA-PBE, Alexandria); Cu Ka).
Lines closer than 0.1° are merged.

```
data_LiCaGaC2
_symmetry_space_group_name_H-M 'P 4/m m m'
_symmetry_Int_Tables_number 123
_symmetry_space_group_name_Hall '-P 4 2'
_cell_length_a 4.506
_cell_length_b 4.506
_cell_length_c 4.831
_cell_angle_alpha 90.00
_cell_angle_beta 90.00
_cell_angle_gamma 90.00
loop_
_atom_site_label
_atom_site_type_symbol
_atom_site_fract_x
_atom_site_fract_y
_atom_site_fract_z
Li1 Li 0.000 0.000 0.000
Ca1 Ca 0.000 0.000 0.500
Ga1 Ga 0.500 0.500 0.000
C1 C 0.000 0.500 0.500
```

Most intense lines, 2θ from 10° to 80°, in order of rising 2θ:
2theta  d/Å  Rel. int.  hkl
27.06  3.295  100  1 0 1
28.00  3.187  36  1 1 0
33.69  2.660  15  1 1 1
37.23  2.415  17  0 0 2
40.01  2.253  28  2 0 0
47.22  1.925  18  1 1 2
48.97  1.860  37  2 1 1
55.80  1.648  19  2 0 2
57.88  1.593  8  2 2 0
61.12  1.516  9  1 0 3
70.85  1.330  9  2 2 2
75.59  1.258  9  2 1 3



No. 5
Structure and simulated X-ray diffraction stick pattern of La2MgGaRu2 (a DFT-relaxed cell (GGA-PBE, Alexandria); Cu Ka).
Lines closer than 0.1° are merged.

```
data_La2MgGaRu2
_symmetry_space_group_name_H-M 'I b a m'
_symmetry_Int_Tables_number 72
_symmetry_space_group_name_Hall '-I 2 2c'
_cell_length_a 5.731
_cell_length_b 15.453
_cell_length_c 5.909
_cell_angle_alpha 90.00
_cell_angle_beta 90.00
_cell_angle_gamma 90.00
loop_
_atom_site_label
_atom_site_type_symbol
_atom_site_fract_x
_atom_site_fract_y
_atom_site_fract_z
La1 La 0.244 0.166 0.000
Mg1 Mg 0.000 0.500 0.250
Ga1 Ga 0.000 0.000 0.250
Ru1 Ru 0.233 0.115 0.500
```

Most intense lines, 2θ from 10° to 80°, in order of rising 2θ:
2theta  d/Å  Rel. int.  hkl
23.02  3.863  39  0 4 0
30.25  2.954  49  0 0 2
31.21  2.866  44  2 0 0
31.78  2.816  100  1 4 1
32.44  2.760  25  0 2 2
33.35  2.687  23  2 2 0
38.36  2.347  68  0 4 2
39.14  2.302  64  2 4 0
44.02  2.057  80  2 0 2
52.32  1.748  34  1 8 1
54.71  1.678  22  1 4 3
64.41  1.447  24  1 10 1



No. 6
Structure and simulated X-ray diffraction stick pattern of Ba2Hg12Pb5 (a DFT-relaxed cell (GGA-PBE, Alexandria); Cu Ka).
Lines closer than 0.1° are merged.

```
data_Ba2Hg12Pb5
_symmetry_space_group_name_H-M 'R -3 m'
_symmetry_Int_Tables_number 166
_symmetry_space_group_name_Hall '-R 3 2"'
_cell_length_a 10.6514
_cell_length_b 10.6514
_cell_length_c 17.2783
_cell_angle_alpha 90.00
_cell_angle_beta 90.00
_cell_angle_gamma 120.00
loop_
_atom_site_label
_atom_site_type_symbol
_atom_site_fract_x
_atom_site_fract_y
_atom_site_fract_z
Ba1 Ba 0.0000 0.0000 0.1815
Hg1 Hg 0.0000 0.2963 0.5000
Hg2 Hg 0.0406 0.5203 0.6299
Pb1 Pb 0.0000 0.0000 0.4055
Pb2 Pb 0.0000 0.5000 0.0000
```

Most intense lines, 2θ from 10° to 80°, in order of rising 2θ:
2theta  d/Å  Rel. int.  hkl
27.59  3.233  26  1 2 2
28.31  3.153  27  0 2 4
29.04  3.075  22  3 0 0
32.37  2.766  76  2 0 5
33.02  2.712  100  0 3 3
33.66  2.663  45  2 2 0
35.44  2.533  32  1 1 6
37.20  2.417  65  2 2 3
43.04  2.101  22  3 0 6
50.58  1.804  22  5 0 2
56.53  1.628  21  0 3 9
72.52  1.303  22  0 7 2



No. 7
Structure and simulated X-ray diffraction stick pattern of K2NiIr (a DFT-relaxed cell (GGA-PBE, Alexandria); Cu Ka).
Lines closer than 0.1° are merged.

```
data_K2NiIr
_symmetry_space_group_name_H-M 'C 1 m 1'
_symmetry_Int_Tables_number 8
_cell_length_a 7.079
_cell_length_b 4.089
_cell_length_c 9.667
_cell_angle_alpha 90.00
_cell_angle_beta 102.93
_cell_angle_gamma 90.00
loop_
_symmetry_equiv_pos_as_xyz
'x,y,z'
'x,-y,z'
'x+1/2,y+1/2,z'
'x+1/2,-y+1/2,z'
loop_
_atom_site_label
_atom_site_type_symbol
_atom_site_fract_x
_atom_site_fract_y
_atom_site_fract_z
K1 K 0.000 0.000 0.000
K2 K 0.155 0.000 0.506
Ni1 Ni 0.410 0.000 0.253
Ir1 Ir 0.244 0.500 0.253
```

Most intense lines, 2θ from 10° to 80°, in order of rising 2θ:
2theta  d/Å  Rel. int.  hkl
18.84  4.711  70  0 0 2
26.01  3.426  44  1 1 -1
28.07  3.179  74  1 1 1
28.43  3.140  100  0 0 3
29.50  3.028  41  2 0 1
29.92  2.986  83  1 1 -2
33.49  2.676  60  1 1 2
36.10  2.488  36  1 1 -3
38.21  2.355  46  0 0 4
44.32  2.044  90  0 2 0
45.24  2.005  36  3 1 0
53.49  1.713  34  0 2 3